# 1
This entry pairs a crystal structure of BiPS3 with its theoretical powder diffractogram. Radiation: λ = 1.5418 Å (Cu Kα). Structure: a DFT-relaxed cell (PBE, Alexandria).
Peak positions follow from Bragg's law for the DFT cell and can differ from measured ones.

Principal peaks in the range 10 to 80 degrees two-theta, by angle:
Position (°2θ), d [Å], I_rel
13.72, 6.454, 22
16.20, 5.470, 78
19.32, 4.593, 23
19.58, 4.535, 56
25.32, 3.518, 100
25.99, 3.429, 21
32.36, 2.766, 31
32.59, 2.748, 43
37.97, 2.370, 30
38.30, 2.350, 39

Structural model:
abc: 7.3086 7.3086 7.3086
angles: 124.04 103.30 102.13
Sites, in units of the cell vectors:
Bi1 0.2240 0.2500 0.4740
Bi2 0.7760 0.7500 0.5260
P1 0.6522 0.0296 0.1226
P2 0.9070 0.5296 0.8774
S1 0.0635 0.2910 0.7888
S2 0.0635 0.7747 0.2725
S3 0.0637 0.7506 0.8132
S4 0.5022 0.2747 0.2112
S5 0.5022 0.7910 0.7275
S6 0.9374 0.2506 0.1868

***

# 2
This entry pairs a crystal structure of ScBi2PSe with its theoretical powder diffractogram. Radiation: λ = 1.5418 Å (Cu Kα). Structure: a DFT-relaxed cell (PBE, Alexandria).
Peak positions follow from Bragg's law for the DFT cell and can differ from measured ones.

Principal peaks in the range 10 to 80 degrees two-theta, by angle:
Position (°2θ), d [Å], I_rel
18.30, 4.849, 31
23.34, 3.811, 22
29.82, 2.996, 100
33.24, 2.695, 48
37.08, 2.424, 18
38.21, 2.356, 21
47.73, 1.906, 17
50.64, 1.802, 29
57.30, 1.608, 33
61.94, 1.498, 16

Structural model:
abc: 5.3899 5.3899 4.8490
angles: 90.00 90.00 90.00
Sites, in units of the cell vectors:
Sc1 0.0000 0.0000 0.0000
Bi1 0.0000 0.5000 0.5000
Bi2 0.5000 0.0000 0.5000
P1 0.5000 0.5000 0.5000
Se1 0.5000 0.5000 0.0000

***

# 3
This entry pairs a crystal structure of Bi2P3Se9 with its theoretical powder diffractogram. Radiation: λ = 1.5418 Å (Cu Kα). Structure: a DFT-relaxed cell (PBE, Alexandria).
Peak positions follow from Bragg's law for the DFT cell and can differ from measured ones.

Principal peaks in the range 10 to 80 degrees two-theta, by angle:
Position (°2θ), d [Å], I_rel
15.37, 5.765, 71
16.23, 5.461, 71
19.30, 4.599, 52
26.41, 3.375, 80
30.61, 2.921, 63
31.01, 2.884, 79
32.46, 2.758, 67
32.55, 2.751, 100
32.84, 2.727, 67
37.42, 2.404, 58

Structural model:
abc: 9.6200 7.6306 23.7372
angles: 90.00 113.03 90.00
Sites, in units of the cell vectors:
Bi1 0.0744 0.0715 0.3363
Bi2 0.0744 0.4285 0.8363
Bi3 0.3882 0.1935 0.6506
Bi4 0.3882 0.3065 0.1506
Bi5 0.6118 0.6935 0.8494
Bi6 0.6118 0.8065 0.3494
Bi7 0.9256 0.5715 0.1637
Bi8 0.9256 0.9285 0.6637
P1 0.0768 0.0489 0.1488
P2 0.0768 0.4511 0.6488
P3 0.2485 0.6687 0.6878
P4 0.2485 0.8313 0.1878
P5 0.4296 0.5602 0.9535
P6 0.4296 0.9398 0.4535
P7 0.5704 0.0602 0.5465
P8 0.5704 0.4398 0.0465
P9 0.7515 0.1687 0.8122
P10 0.7515 0.3313 0.3122
P11 0.9232 0.5489 0.3512
P12 0.9232 0.9511 0.8512
Se1 0.1212 0.1443 0.0689
Se2 0.1212 0.3557 0.5689
Se3 0.1492 0.0690 0.8753
Se4 0.1492 0.4310 0.3753
Se5 0.1515 0.2501 0.2218
Se6 0.1515 0.2499 0.7218
Se7 0.1620 0.6303 0.1132
Se8 0.1620 0.8697 0.6132
Se9 0.2002 0.6025 0.9524
Se10 0.2002 0.8975 0.4524
Se11 0.2249 0.7298 0.2704
Se12 0.2249 0.7702 0.7704
Se13 0.4271 0.1262 0.3819
Se14 0.4271 0.3738 0.8819
Se15 0.4521 0.1928 0.0496
Se16 0.4521 0.3072 0.5496
Se17 0.4729 0.5509 0.7040
Se18 0.4729 0.9491 0.2040
Se19 0.5271 0.0509 0.7960
Se20 0.5271 0.4491 0.2960
Se21 0.5479 0.6928 0.4504
Se22 0.5479 0.8072 0.9504
Se23 0.5729 0.6262 0.1181
Se24 0.5729 0.8738 0.6181
Se25 0.7751 0.2298 0.2296
Se26 0.7751 0.2702 0.7296
Se27 0.7998 0.1025 0.5476
Se28 0.7998 0.3975 0.0476
Se29 0.8380 0.1303 0.3868
Se30 0.8380 0.3697 0.8868
Se31 0.8485 0.7501 0.2782
Se32 0.8485 0.7499 0.7782
Se33 0.8508 0.5690 0.6247
Se34 0.8508 0.9310 0.1247
Se35 0.8788 0.6443 0.4311
Se36 0.8788 0.8557 0.9311

***

# 4
This entry pairs a crystal structure of Sm2Tm3Bi2P2 with its theoretical powder diffractogram. Radiation: λ = 1.5418 Å (Cu Kα). Structure: a DFT-relaxed cell (PBE, Alexandria).
Peak positions follow from Bragg's law for the DFT cell and can differ from measured ones.

Principal peaks in the range 10 to 80 degrees two-theta, by angle:
Position (°2θ), d [Å], I_rel
24.64, 3.613, 35
26.21, 3.400, 48
28.25, 3.159, 61
30.48, 2.933, 71
35.12, 2.555, 100
35.89, 2.502, 66
36.59, 2.456, 32
45.67, 1.986, 33
50.52, 1.807, 36
51.08, 1.788, 53

Structural model:
abc: 10.6756 10.6756 10.6756
angles: 152.31 152.31 39.57
Sites, in units of the cell vectors:
Sm1 0.0804 0.0804 0.0000
Sm2 0.9196 0.9196 0.0000
Tm1 0.2500 0.7500 0.5000
Tm2 0.5000 0.5000 0.0000
Tm3 0.7500 0.2500 0.5000
Bi1 0.3407 0.3407 0.0000
Bi2 0.6593 0.6593 0.0000
P1 0.0000 0.5000 0.5000
P2 0.5000 0.0000 0.5000